# 1
The following is a computed PXRD pattern of Ac2Pr2NdDy. It was derived from a cell relaxed with GGA-PBE, using Cu Kα, 1.54184 Å.
Intensities are scaled so that the largest is 100.

Largest 8 diffraction maxima, in order of rising 2θ, 2θ = 15–90°:
2θ = 29.74°, d 3.004, I = 94; 2θ = 29.99°, d 2.980, I = 100; 2θ = 42.74°, d 2.116, I = 35; 2θ = 53.00°, d 1.728, I = 13; 2θ = 53.16°, d 1.723, I = 39; 2θ = 58.81°, d 1.570, I = 30; 2θ = 75.47°, d 1.260, I = 10; 2θ = 86.37°, d 1.126, I = 10

abc: 5.972 10.300 7.390
angles: 90.00 90.00 90.00
Fractional positions:
Ac1 0.000 0.000 0.000
Ac2 0.000 0.000 0.500
Ac3 0.500 0.174 0.250
Ac4 0.500 0.826 0.750
Pr1 0.000 0.343 0.250
Pr2 0.000 0.657 0.750
Pr3 0.500 0.173 0.750
Pr4 0.500 0.827 0.250
Nd1 0.500 0.500 0.000
Nd2 0.500 0.500 0.500
Dy1 0.000 0.336 0.750
Dy2 0.000 0.664 0.250

=====

# 2
The following is a computed PXRD pattern of Pm6CdHg3. It was derived from a cell relaxed with GGA-PBE, using Cu Kα, 1.54184 Å.
Intensities are scaled so that the largest is 100.

Largest 8 diffraction maxima, in order of rising 2θ, 2θ = 15–90°:
2θ = 31.87°, d 2.808, I = 40; 2θ = 32.86°, d 2.726, I = 100; 2θ = 33.00°, d 2.714, I = 92; 2θ = 33.16°, d 2.702, I = 57; 2θ = 36.05°, d 2.492, I = 20; 2θ = 46.65°, d 1.947, I = 29; 2θ = 59.09°, d 1.563, I = 38; 2θ = 59.46°, d 1.554, I = 16

abc: 9.424 5.403 11.880
angles: 90.00 107.57 90.00
Fractional positions:
Pm1 0.031 0.250 0.407
Pm2 0.156 0.750 0.182
Pm3 0.242 0.250 0.000
Pm4 0.345 0.750 0.808
Pm5 0.371 0.250 0.346
Pm6 0.403 0.250 0.623
Pm7 0.597 0.750 0.377
Pm8 0.629 0.750 0.654
Pm9 0.655 0.250 0.192
Pm10 0.758 0.750 0.000
Pm11 0.844 0.250 0.818
Pm12 0.969 0.750 0.593
Cd1 0.454 0.750 0.095
Cd2 0.546 0.250 0.905
Hg1 0.032 0.750 0.879
Hg2 0.123 0.250 0.716
Hg3 0.273 0.750 0.475
Hg4 0.727 0.250 0.525
Hg5 0.877 0.750 0.284
Hg6 0.968 0.250 0.121

=====

# 3
The following is a computed PXRD pattern of NiSbTe. It was derived from a cell relaxed with GGA-PBE, using Cu Kα, 1.54184 Å.
Intensities are scaled so that the largest is 100.

Largest 8 diffraction maxima, in order of rising 2θ, 2θ = 15–90°:
2θ = 26.54°, d 3.358, I = 20; 2θ = 28.02°, d 3.185, I = 23; 2θ = 31.45°, d 2.844, I = 100; 2θ = 32.91°, d 2.722, I = 74; 2θ = 43.24°, d 2.092, I = 56; 2θ = 45.78°, d 1.982, I = 25; 2θ = 48.95°, d 1.861, I = 32; 2θ = 57.53°, d 1.602, I = 29

abc: 3.964 5.349 6.323
angles: 90.00 90.00 90.00
Fractional positions:
Ni1 0.000 0.250 0.000
Ni2 0.500 0.750 0.500
Sb1 0.000 0.022 0.360
Sb2 0.500 0.978 0.860
Te1 0.000 0.470 0.636
Te2 0.500 0.530 0.136

=====

# 4
The following is a computed PXRD pattern of Pm3Pu4Sn4. It was derived from a cell relaxed with GGA-PBE, using Cu Kα, 1.54184 Å.
Intensities are scaled so that the largest is 100.

Largest 8 diffraction maxima, in order of rising 2θ, 2θ = 15–90°:
2θ = 26.04°, d 3.423, I = 72; 2θ = 29.89°, d 2.989, I = 98; 2θ = 30.87°, d 2.897, I = 92; 2θ = 32.74°, d 2.735, I = 62; 2θ = 33.69°, d 2.660, I = 100; 2θ = 35.85°, d 2.505, I = 45; 2θ = 38.66°, d 2.329, I = 50; 2θ = 56.27°, d 1.635, I = 49

abc: 10.336 10.336 10.336
angles: 156.87 129.12 56.60
Fractional positions:
Pm1 0.000 0.000 0.000
Pm2 0.402 0.902 0.500
Pm3 0.598 0.098 0.500
Pu1 0.002 0.331 0.671
Pu2 0.340 0.669 0.671
Pu3 0.660 0.331 0.329
Pu4 0.998 0.669 0.329
Sn1 0.271 0.271 0.000
Sn2 0.281 0.500 0.781
Sn3 0.719 0.500 0.219
Sn4 0.729 0.729 0.000

=====

Copy entry 4 word for word.
The following is a computed PXRD pattern of Pm3Pu4Sn4. It was derived from a cell relaxed with GGA-PBE, using Cu Kα, 1.54184 Å.
Intensities are scaled so that the largest is 100.

Largest 8 diffraction maxima, in order of rising 2θ, 2θ = 15–90°:
2θ = 26.04°, d 3.423, I = 72; 2θ = 29.89°, d 2.989, I = 98; 2θ = 30.87°, d 2.897, I = 92; 2θ = 32.74°, d 2.735, I = 62; 2θ = 33.69°, d 2.660, I = 100; 2θ = 35.85°, d 2.505, I = 45; 2θ = 38.66°, d 2.329, I = 50; 2θ = 56.27°, d 1.635, I = 49

abc: 10.336 10.336 10.336
angles: 156.87 129.12 56.60
Fractional positions:
Pm1 0.000 0.000 0.000
Pm2 0.402 0.902 0.500
Pm3 0.598 0.098 0.500
Pu1 0.002 0.331 0.671
Pu2 0.340 0.669 0.671
Pu3 0.660 0.331 0.329
Pu4 0.998 0.669 0.329
Sn1 0.271 0.271 0.000
Sn2 0.281 0.500 0.781
Sn3 0.719 0.500 0.219
Sn4 0.729 0.729 0.000

=====

What did the fourth record say?
The following is a computed PXRD pattern of Pm3Pu4Sn4. It was derived from a cell relaxed with GGA-PBE, using Cu Kα, 1.54184 Å.
Intensities are scaled so that the largest is 100.

Largest 8 diffraction maxima, in order of rising 2θ, 2θ = 15–90°:
2θ = 26.04°, d 3.423, I = 72; 2θ = 29.89°, d 2.989, I = 98; 2θ = 30.87°, d 2.897, I = 92; 2θ = 32.74°, d 2.735, I = 62; 2θ = 33.69°, d 2.660, I = 100; 2θ = 35.85°, d 2.505, I = 45; 2θ = 38.66°, d 2.329, I = 50; 2θ = 56.27°, d 1.635, I = 49

abc: 10.336 10.336 10.336
angles: 156.87 129.12 56.60
Fractional positions:
Pm1 0.000 0.000 0.000
Pm2 0.402 0.902 0.500
Pm3 0.598 0.098 0.500
Pu1 0.002 0.331 0.671
Pu2 0.340 0.669 0.671
Pu3 0.660 0.331 0.329
Pu4 0.998 0.669 0.329
Sn1 0.271 0.271 0.000
Sn2 0.281 0.500 0.781
Sn3 0.719 0.500 0.219
Sn4 0.729 0.729 0.000